# 1
For KTiF4, a DFT-relaxed cell (PBE, the Materials Project) gives the calculated X-ray powder pattern in this record (Cu Kα (λ = 1.5418 Å)).

Structural model:
Lattice parameters (Å, degrees): 8.049 8.579 12.439 90.00 90.00 90.00
Sites, in units of the cell vectors:
K 0.122 0.250 0.055
K 0.123 0.250 0.441
K 0.377 0.750 0.941
K 0.378 0.750 0.555
K 0.622 0.250 0.445
K 0.623 0.250 0.059
K 0.877 0.750 0.559
K 0.878 0.750 0.945
Ti 0.127 0.057 0.749
Ti 0.127 0.443 0.749
Ti 0.373 0.557 0.249
Ti 0.373 0.943 0.249
Ti 0.627 0.057 0.751
Ti 0.627 0.443 0.751
Ti 0.873 0.557 0.251
Ti 0.873 0.943 0.251
F 0.123 0.250 0.848
F 0.123 0.551 0.254
F 0.123 0.572 0.874
F 0.123 0.928 0.874
F 0.123 0.949 0.254
F 0.131 0.572 0.624
F 0.131 0.928 0.624
F 0.132 0.250 0.650
F 0.368 0.750 0.150
F 0.369 0.072 0.124
F 0.369 0.428 0.124
F 0.377 0.051 0.754
F 0.377 0.072 0.374
F 0.377 0.428 0.374
F 0.377 0.449 0.754
F 0.377 0.750 0.348
F 0.623 0.250 0.652
F 0.623 0.551 0.246
F 0.623 0.572 0.626
F 0.623 0.928 0.626
F 0.623 0.949 0.246
F 0.631 0.572 0.876
F 0.631 0.928 0.876
F 0.632 0.250 0.850
F 0.868 0.750 0.350
F 0.869 0.072 0.376
F 0.869 0.428 0.376
F 0.877 0.051 0.746
F 0.877 0.072 0.126
F 0.877 0.428 0.126
F 0.877 0.449 0.746
F 0.877 0.750 0.152

Top 12 peaks for 10° ≤ 2θ ≤ 80°, in order of rising 2θ:
(hkl)  two_theta  intensity
0 0 2  14.24  66
2 0 1  23.23  72
0 1 3  23.84  87
2 1 0  24.43  54
0 2 2  25.22  100
2 2 1  31.31  23
2 3 0  38.62  27
4 0 0  45.05  43
0 3 5  48.50  50
2 3 4  48.82  31
4 2 2  52.33  22
4 3 5  68.34  29



# 2
For Sr2LiSiO4F, a DFT-relaxed cell (PBE, the Materials Project) gives the calculated X-ray powder pattern in this record (Cu Kα (λ = 1.5418 Å)).

Structural model:
Lattice parameters (Å, degrees): 6.638 5.466 6.997 90.00 112.29 90.00
Sites, in units of the cell vectors:
Sr 0.135 0.250 0.398
Sr 0.341 0.750 0.126
Sr 0.659 0.250 0.874
Sr 0.865 0.750 0.602
Li 0.352 0.750 0.619
Li 0.648 0.250 0.381
Si 0.155 0.250 0.835
Si 0.845 0.750 0.165
O 0.096 0.750 0.342
O 0.163 0.250 0.071
O 0.276 0.007 0.789
O 0.276 0.493 0.789
O 0.724 0.507 0.211
O 0.724 0.993 0.211
O 0.837 0.750 0.929
O 0.904 0.250 0.658
F 0.500 0.000 0.500
F 0.500 0.500 0.500

Top 12 peaks for 10° ≤ 2θ ≤ 80°, in order of rising 2θ:
(hkl)  two_theta  intensity
1 1 -1  22.63  88
1 0 1  23.44  31
2 0 -2  31.65  32
0 1 2  32.13  87
0 2 0  32.77  49
2 1 0  33.47  100
1 0 -3  38.62  42
1 2 1  40.68  59
3 0 -1  40.88  25
2 2 -2  46.20  62
2 0 2  47.94  24
1 1 3  52.76  23



# 3
For Tb3Si2Ni, a DFT-relaxed cell (PBE, the Materials Project) gives the calculated X-ray powder pattern in this record (Cu Kα (λ = 1.5418 Å)).

Structural model:
Lattice parameters (Å, degrees): 11.333 4.141 11.248 90.00 90.00 90.00
Sites, in units of the cell vectors:
Tb 0.058 0.250 0.125
Tb 0.119 0.750 0.560
Tb 0.214 0.250 0.803
Tb 0.286 0.750 0.303
Tb 0.381 0.250 0.060
Tb 0.442 0.750 0.625
Tb 0.558 0.250 0.375
Tb 0.619 0.750 0.940
Tb 0.714 0.250 0.697
Tb 0.786 0.750 0.197
Tb 0.881 0.250 0.440
Tb 0.942 0.750 0.875
Si 0.026 0.750 0.314
Si 0.197 0.750 0.995
Si 0.303 0.250 0.495
Si 0.474 0.250 0.814
Si 0.526 0.750 0.186
Si 0.697 0.750 0.505
Si 0.803 0.250 0.005
Si 0.974 0.250 0.686
Ni 0.129 0.250 0.367
Ni 0.371 0.750 0.867
Ni 0.629 0.250 0.133
Ni 0.871 0.750 0.633

Top 12 peaks for 10° ≤ 2θ ≤ 80°, in order of rising 2θ:
(hkl)  two_theta  intensity
1 1 1  24.21  45
2 1 1  27.84  71
3 0 2  28.46  55
2 1 2  31.12  50
0 1 3  32.21  100
4 0 1  32.59  34
1 0 4  32.82  44
3 1 1  33.07  34
3 1 2  35.92  69
4 1 1  39.36  31
0 2 0  43.72  49
6 0 3  54.35  23